Entry 1:
For NpPaSe, a cell relaxed with PBE gives the computed powder diffractogram in this record (Cu Kα X-rays).
Lines closer than 0.1° are merged.

Most intense lines, 2θ from 5° to 70°, sorted by position:
2θ 16.78, rel. 25.1
2θ 20.78, rel. 26.9
2θ 27.35, rel. 26.2
2θ 32.07, rel. 100.0
2θ 32.26, rel. 55.8
2θ 42.08, rel. 41.4

Cell lengths 5.284, 7.272, 7.371 Å; angles 90.00, 90.00, 90.00 degrees
Fractional coordinates of all 12 atoms:
Np (0.074, 0.142, 0.250)
Np (0.074, 0.358, 0.750)
Np (0.926, 0.642, 0.250)
Np (0.926, 0.858, 0.750)
Pa (0.240, 0.750, 0.000)
Pa (0.240, 0.750, 0.500)
Pa (0.760, 0.250, 0.000)
Pa (0.760, 0.250, 0.500)
Se (0.430, 0.041, 0.750)
Se (0.430, 0.459, 0.250)
Se (0.570, 0.541, 0.750)
Se (0.570, 0.959, 0.250)

=====

Entry 2:
For NpPa3Tl3Se8, a cell relaxed with PBE gives the computed powder diffractogram in this record (Cu Kα X-rays).
Lines closer than 0.1° are merged.

Most intense lines, 2θ from 5° to 70°, sorted by position:
2θ 25.99, rel. 22.5
2θ 29.08, rel. 100.0
2θ 39.28, rel. 40.0
2θ 43.81, rel. 34.4
2θ 53.45, rel. 19.0
2θ 65.05, rel. 18.4

Cell lengths 9.288, 9.288, 9.288 Å; angles 52.84, 52.84, 52.84 degrees
Fractional coordinates of all 15 atoms:
Np (0.000, 0.000, 0.000)
Pa (0.000, 0.500, 0.500)
Pa (0.500, 0.000, 0.500)
Pa (0.500, 0.500, 0.000)
Tl (0.000, 0.000, 0.500)
Tl (0.000, 0.500, 0.000)
Tl (0.500, 0.000, 0.000)
Se (0.238, 0.238, 0.730)
Se (0.238, 0.730, 0.238)
Se (0.264, 0.264, 0.264)
Se (0.270, 0.762, 0.762)
Se (0.730, 0.238, 0.238)
Se (0.736, 0.736, 0.736)
Se (0.762, 0.270, 0.762)
Se (0.762, 0.762, 0.270)

=====

Entry 3:
For NpPaSi4, a cell relaxed with PBE gives the computed powder diffractogram in this record (Cu Kα X-rays).
Lines closer than 0.1° are merged.

Most intense lines, 2θ from 5° to 70°, sorted by position:
2θ 23.35, rel. 61.3
2θ 25.17, rel. 33.1
2θ 29.46, rel. 58.3
2θ 34.47, rel. 100.0
2θ 39.13, rel. 41.0
2θ 50.67, rel. 35.7

Cell lengths 7.609, 7.609, 7.609 Å; angles 149.86, 149.86, 43.14 degrees
Fractional coordinates of all 6 atoms:
Np (0.000, 0.000, 0.000)
Pa (0.750, 0.250, 0.500)
Si (0.167, 0.667, 0.500)
Si (0.333, 0.833, 0.500)
Si (0.418, 0.418, 0.000)
Si (0.582, 0.582, 0.000)

=====

Entry 4:
For NpPd9Pb2, a cell relaxed with PBE gives the computed powder diffractogram in this record (Cu Kα X-rays).
Lines closer than 0.1° are merged.

Most intense lines, 2θ from 5° to 70°, sorted by position:
2θ 21.57, rel. 11.0
2θ 30.68, rel. 9.8
2θ 37.82, rel. 100.0
2θ 43.95, rel. 49.1
2θ 49.46, rel. 5.7
2θ 63.90, rel. 32.1

Cell lengths 4.118, 4.118, 12.379 Å; angles 90.00, 90.00, 90.00 degrees
Fractional coordinates of all 12 atoms:
Np (0.000, 0.000, 0.000)
Pd (0.000, 0.500, 0.165)
Pd (0.000, 0.500, 0.500)
Pd (0.000, 0.500, 0.835)
Pd (0.500, 0.000, 0.165)
Pd (0.500, 0.000, 0.500)
Pd (0.500, 0.000, 0.835)
Pd (0.500, 0.500, 0.000)
Pd (0.500, 0.500, 0.334)
Pd (0.500, 0.500, 0.666)
Pb (0.000, 0.000, 0.335)
Pb (0.000, 0.000, 0.665)

=====

Entry 5:
For NpPdPb, a cell relaxed with PBE gives the computed powder diffractogram in this record (Cu Kα X-rays).
Lines closer than 0.1° are merged.

Most intense lines, 2θ from 5° to 70°, sorted by position:
2θ 20.70, rel. 13.8
2θ 35.05, rel. 100.0
2θ 36.26, rel. 86.1
2θ 51.32, rel. 34.6
2θ 64.45, rel. 35.4
2θ 65.23, rel. 15.9

Cell lengths 4.955, 4.955, 3.190 Å; angles 90.00, 90.00, 120.00 degrees
Fractional coordinates of all 3 atoms:
Np (0.000, 0.000, 0.000)
Pd (0.667, 0.333, 0.500)
Pb (0.333, 0.667, 0.500)

=====

Entry 6:
For Np2Sb2Pd2Pb, a cell relaxed with PBE gives the computed powder diffractogram in this record (Cu Kα X-rays).
Lines closer than 0.1° are merged.

Most intense lines, 2θ from 5° to 70°, sorted by position:
2θ 9.89, rel. 43.2
2θ 32.10, rel. 100.0
2θ 38.38, rel. 87.1
2θ 40.28, rel. 24.1
2θ 50.88, rel. 27.9
2θ 65.49, rel. 26.3

Cell lengths 9.347, 9.347, 9.347 Å; angles 29.06, 29.06, 29.06 degrees
Fractional coordinates of all 7 atoms:
Np (0.147, 0.147, 0.147)
Np (0.853, 0.853, 0.853)
Sb (0.263, 0.263, 0.263)
Sb (0.737, 0.737, 0.737)
Pd (0.446, 0.446, 0.446)
Pd (0.554, 0.554, 0.554)
Pb (0.000, 0.000, 0.000)